Computed powder X-ray diffraction pattern
Compound: Hg2Au2I7
Radiation: Cu Kα (weighted mean of Kα1 and Kα2)
Structure: a structure optimized by DFT (GGA-PBE)

Principal peaks in the range 10 to 90 degrees two-theta, in order of rising 2θ:
| Position (°2θ) | I (rel.) |
| --- | --- |
| 10.10 | 81 |
| 15.23 | 39 |
| 18.99 | 100 |
| 19.84 | 44 |
| 20.46 | 46 |
| 22.84 | 28 |
| 25.21 | 30 |
| 26.72 | 42 |
| 30.51 | 37 |
| 32.77 | 29 |
| 41.66 | 29 |
| 43.48 | 26 |

Atomic structure:
Cell lengths 12.2290, 13.2964, 13.8127 Å; angles 90.00, 107.90, 90.00 degrees
Space group C2/c (No. 15)
Inequivalent atoms, fractional coordinates:
Hg1 0.1552 0.0357 0.0091 [8 per cell]
Au1 0.1710 0.1822 0.2936 [8 per cell]
I1 0.0000 0.3118 0.2500 [4 per cell]
I2 0.0683 0.1087 0.6197 [8 per cell]
I3 0.1953 0.4581 0.5957 [8 per cell]
I4 0.2423 0.2923 0.8750 [8 per cell]